1.
Diffraction record for LiTiH. The XRD peak list is computed, not measured: it uses a cell relaxed with PBE and copper Kα.
Peak positions follow from Bragg's law for the DFT cell and can differ from measured ones.

Crystal structure
```
LiTiH
1.0
1.4567 0.8410 9.6992
-1.4567 0.8410 9.6992
0.0000 -1.6821 9.6992
Li Ti H
2 2 2
direct
0.1248 0.1248 0.1248 Li
0.8752 0.8752 0.8752 Li
0.2950 0.2950 0.2950 Ti
0.7050 0.7050 0.7050 Ti
0.4113 0.4113 0.4113 H
0.5887 0.5887 0.5887 H
```

Main lines, most intense first (2θ from 10° to 90°):
- 2θ = 38.91°, intensity 100
- 2θ = 36.13°, intensity 80
- 2θ = 41.88°, intensity 76
- 2θ = 47.71°, intensity 46
- 2θ = 37.08°, intensity 39
- 2θ = 76.25°, intensity 24
- 2θ = 63.91°, intensity 24
- 2θ = 27.59°, intensity 20
- 2θ = 65.95°, intensity 20
- 2θ = 43.66°, intensity 18


2.
Diffraction record for Li6Tl2H. The XRD peak list is computed, not measured: it uses a cell relaxed with PBE and copper Kα.
Peak positions follow from Bragg's law for the DFT cell and can differ from measured ones.

Crystal structure
```
Li6Tl2H
1.0
-2.9574 2.9574 4.2318
2.9574 -2.9574 4.2318
2.9574 2.9574 -4.2318
Li Tl H
6 2 1
direct
0.2397 0.2397 0.4794 Li
0.2397 0.7603 0.0000 Li
0.2419 0.2419 0.0000 Li
0.7581 0.7581 0.0000 Li
0.7603 0.2397 0.0000 Li
0.7603 0.7603 0.5206 Li
0.2500 0.7500 0.5000 Tl
0.7500 0.2500 0.5000 Tl
0.0000 0.0000 0.0000 H
```

Main lines, most intense first (2θ from 10° to 90°):
- 2θ = 21.24°, intensity 100
- 2θ = 30.04°, intensity 88
- 2θ = 37.09°, intensity 61
- 2θ = 20.99°, intensity 51
- 2θ = 30.22°, intensity 43
- 2θ = 53.57°, intensity 36
- 2θ = 48.20°, intensity 24
- 2θ = 48.56°, intensity 23
- 2θ = 48.68°, intensity 23
- 2θ = 43.26°, intensity 20


3.
Diffraction record for LiTmH4. The XRD peak list is computed, not measured: it uses a cell relaxed with PBE and copper Kα.
Peak positions follow from Bragg's law for the DFT cell and can differ from measured ones.

Crystal structure
```
LiTmH4
1.0
3.5465 0.0000 0.0000
0.0000 3.5465 0.0000
0.0000 0.0000 4.8826
Li Tm H
1 1 4
direct
0.0000 0.0000 0.0000 Li
0.5000 0.5000 0.5000 Tm
0.0000 0.5000 0.2485 H
0.0000 0.5000 0.7515 H
0.5000 0.0000 0.2485 H
0.5000 0.0000 0.7515 H
```

Main lines, most intense first (2θ from 10° to 90°):
- 2θ = 31.17°, intensity 100
- 2θ = 18.17°, intensity 82
- 2θ = 25.11°, intensity 76
- 2θ = 40.44°, intensity 44
- 2θ = 35.81°, intensity 32
- 2θ = 45.08°, intensity 32
- 2θ = 61.47°, intensity 29
- 2θ = 52.30°, intensity 25
- 2θ = 55.10°, intensity 18
- 2θ = 70.85°, intensity 17


4.
Diffraction record for Li2HW. The XRD peak list is computed, not measured: it uses a cell relaxed with PBE and copper Kα.
Peak positions follow from Bragg's law for the DFT cell and can differ from measured ones.

Crystal structure
```
Li2HW
1.0
-2.4622 2.4622 3.4651
2.4622 -2.4622 3.4651
2.4622 2.4622 -3.4651
Li H W
4 2 2
direct
0.0000 0.0000 0.0000 Li
0.0000 0.0000 0.5000 Li
0.0000 0.5000 0.0000 Li
0.5000 0.0000 0.5000 Li
0.1250 0.8750 0.2500 H
0.8750 0.1250 0.7500 H
0.3750 0.6250 0.7500 W
0.6250 0.3750 0.2500 W
```

Main lines, most intense first (2θ from 10° to 90°):
- 2θ = 22.14°, intensity 100
- 2θ = 36.55°, intensity 95
- 2θ = 43.10°, intensity 42
- 2θ = 65.74°, intensity 23
- 2θ = 43.26°, intensity 21
- 2θ = 57.85°, intensity 15
- 2θ = 65.92°, intensity 11
- 2θ = 88.90°, intensity 11
- 2θ = 70.24°, intensity 10
- 2θ = 52.56°, intensity 10


5.
Diffraction record for Li4ZnH6. The XRD peak list is computed, not measured: it uses a cell relaxed with PBE and copper Kα.
Peak positions follow from Bragg's law for the DFT cell and can differ from measured ones.

Crystal structure
```
Li4ZnH6
1.0
4.6628 -2.6504 0.0000
4.6628 2.6504 0.0000
-3.4733 0.0000 8.7725
Li Zn H
8 2 12
direct
0.0606 0.3086 0.8172 Li
0.0917 0.9083 0.5000 Li
0.1605 0.5679 0.1523 Li
0.3086 0.0606 0.3172 Li
0.5452 0.7561 0.0130 Li
0.5679 0.1605 0.6523 Li
0.7561 0.5452 0.5130 Li
0.9083 0.0917 0.0000 Li
0.1560 0.7053 0.7508 Zn
0.7053 0.1560 0.2508 Zn
0.1251 0.5960 0.5654 H
0.2582 0.8383 0.1200 H
0.3288 0.9065 0.8269 H
0.3628 0.3971 0.8200 H
0.3971 0.3628 0.3200 H
0.4335 0.9161 0.4958 H
0.5960 0.1251 0.0654 H
0.8279 0.8723 0.7951 H
0.8383 0.2582 0.6200 H
0.8723 0.8279 0.2951 H
0.9065 0.3288 0.3269 H
0.9161 0.4335 0.9958 H
```

Main lines, most intense first (2θ from 10° to 90°):
- 2θ = 20.28°, intensity 100
- 2θ = 23.80°, intensity 46
- 2θ = 20.49°, intensity 35
- 2θ = 22.93°, intensity 31
- 2θ = 39.77°, intensity 28
- 2θ = 33.13°, intensity 20
- 2θ = 41.22°, intensity 20
- 2θ = 33.44°, intensity 19
- 2θ = 38.74°, intensity 15
- 2θ = 40.05°, intensity 13


6.
Diffraction record for LiZnH3. The XRD peak list is computed, not measured: it uses a cell relaxed with PBE and copper Kα.
Peak positions follow from Bragg's law for the DFT cell and can differ from measured ones.

Crystal structure
```
LiZnH3
1.0
5.2208 0.0000 0.0000
0.0000 2.8293 0.0000
-0.8245 0.0000 6.7831
Li Zn H
2 2 6
direct
0.1869 0.2500 0.1445 Li
0.8131 0.7500 0.8555 Li
0.2952 0.2500 0.7089 Zn
0.7048 0.7500 0.2911 Zn
0.0702 0.2500 0.8618 H
0.2447 0.7500 0.5642 H
0.4137 0.7500 0.1757 H
0.5863 0.2500 0.8243 H
0.7553 0.2500 0.4358 H
0.9298 0.7500 0.1382 H
```

Main lines, most intense first (2θ from 10° to 90°):
- 2θ = 22.82°, intensity 100
- 2θ = 20.27°, intensity 86
- 2θ = 34.34°, intensity 65
- 2θ = 36.17°, intensity 64
- 2θ = 26.28°, intensity 59
- 2θ = 46.57°, intensity 43
- 2θ = 29.69°, intensity 35
- 2θ = 34.62°, intensity 29
- 2θ = 50.78°, intensity 21
- 2θ = 43.93°, intensity 20


7.
Diffraction record for Li2ZnH. The XRD peak list is computed, not measured: it uses a cell relaxed with PBE and copper Kα.
Peak positions follow from Bragg's law for the DFT cell and can differ from measured ones.

Crystal structure
```
Li2ZnH
1.0
3.9400 -2.3117 0.0000
3.9400 2.3117 0.0000
-0.0531 0.0000 2.6244
Li Zn H
2 1 1
direct
0.1577 0.1577 0.0069 Li
0.8423 0.8423 0.9931 Li
0.4824 0.5176 0.5000 Zn
0.8755 0.1245 0.5000 H
```

Main lines, most intense first (2θ from 10° to 90°):
- 2θ = 22.30°, intensity 100
- 2θ = 22.57°, intensity 56
- 2θ = 40.96°, intensity 43
- 2θ = 39.46°, intensity 35
- 2θ = 41.38°, intensity 27
- 2θ = 38.96°, intensity 19
- 2θ = 45.50°, intensity 16
- 2θ = 34.17°, intensity 16
- 2θ = 41.74°, intensity 14
- 2θ = 71.93°, intensity 11


8.
Diffraction record for LiZnH4. The XRD peak list is computed, not measured: it uses a cell relaxed with PBE and copper Kα.
Peak positions follow from Bragg's law for the DFT cell and can differ from measured ones.

Crystal structure
```
LiZnH4
1.0
-1.8299 1.8299 4.0211
1.8299 -1.8299 4.0211
1.8299 1.8299 -4.0211
Li Zn H
1 1 4
direct
0.0000 0.0000 0.0000 Li
0.2500 0.7500 0.5000 Zn
0.0517 0.5517 0.5000 H
0.2397 0.2397 0.0000 H
0.4483 0.9483 0.5000 H
0.7603 0.7603 0.0000 H
```

Main lines, most intense first (2θ from 10° to 90°):
- 2θ = 26.76°, intensity 100
- 2θ = 22.11°, intensity 34
- 2θ = 41.50°, intensity 30
- 2θ = 41.77°, intensity 27
- 2θ = 57.46°, intensity 22
- 2θ = 34.66°, intensity 21
- 2θ = 66.99°, intensity 13
- 2θ = 49.83°, intensity 11
- 2θ = 55.14°, intensity 11
- 2θ = 58.10°, intensity 9


9.
Diffraction record for LiZrH. The XRD peak list is computed, not measured: it uses a cell relaxed with PBE and copper Kα.
Peak positions follow from Bragg's law for the DFT cell and can differ from measured ones.

Crystal structure
```
LiZrH
1.0
-7.2009 7.2009 3.3432
7.2009 -7.2009 3.3432
7.2009 7.2009 -3.3432
Li Zr H
16 16 16
direct
0.0017 0.8649 0.3532 Li
0.0116 0.6485 0.1468 Li
0.1414 0.0049 0.1343 Li
0.1485 0.5017 0.6368 Li
0.3649 0.5116 0.8632 Li
0.3706 0.0071 0.3657 Li
0.4929 0.3586 0.3635 Li
0.4951 0.1294 0.1365 Li
0.5049 0.8706 0.8635 Li
0.5071 0.6414 0.6365 Li
0.6294 0.9929 0.6343 Li
0.6351 0.4884 0.1368 Li
0.8515 0.4983 0.3632 Li
0.8586 0.9951 0.8657 Li
0.9884 0.3515 0.8532 Li
0.9983 0.1351 0.6468 Li
0.1250 0.2450 0.3883 Zr
0.1292 0.7437 0.8857 Zr
0.2367 0.6250 0.3800 Zr
0.2437 0.8581 0.6145 Zr
0.2550 0.1433 0.8800 Zr
0.2564 0.3708 0.1145 Zr
0.3567 0.7367 0.1117 Zr
0.3581 0.2436 0.6143 Zr
0.6419 0.7564 0.3857 Zr
0.6433 0.2633 0.8883 Zr
0.7436 0.6292 0.8855 Zr
0.7450 0.8567 0.1200 Zr
0.7563 0.1419 0.3855 Zr
0.7633 0.3750 0.6200 Zr
0.8708 0.2563 0.1143 Zr
0.8750 0.7550 0.6117 Zr
0.0004 0.1852 0.1862 H
0.9996 0.8148 0.8138 H
0.1013 0.6229 0.7102 H
0.1089 0.3987 0.0216 H
0.1229 0.9127 0.5216 H
0.3141 0.5004 0.3151 H
0.3148 0.0010 0.8151 H
0.4127 0.3911 0.7898 H
0.4990 0.8141 0.3138 H
0.5010 0.1859 0.6862 H
0.5873 0.6089 0.2102 H
0.6852 0.9990 0.1849 H
0.6859 0.4996 0.6849 H
0.8771 0.0873 0.4784 H
0.8911 0.6013 0.9784 H
0.8987 0.3771 0.2898 H
```

Main lines, most intense first (2θ from 10° to 90°):
- 2θ = 12.29°, intensity 100
- 2θ = 36.68°, intensity 85
- 2θ = 27.70°, intensity 47
- 2θ = 35.25°, intensity 46
- 2θ = 29.46°, intensity 42
- 2θ = 64.20°, intensity 28
- 2θ = 53.44°, intensity 23
- 2θ = 38.83°, intensity 20
- 2θ = 37.47°, intensity 17
- 2θ = 50.71°, intensity 15